No. 1
# Ta4Al2CN
Simulated PXRD pattern, Cu Kα (λ = 1.5418 Å). Input: DFT lattice parameters and positions (PBE).
Lines closer than 0.1° are merged.

```
data_Ta4Al2CN
_chemical_formula_sum 'Ta4 Al2 C1 N1'
_space_group_name_H-M_alt 'P -3 m 1'
_space_group_IT_number 164
_space_group_name_Hall '-P 3 2"'
_cell_length_a 3.0332
_cell_length_b 3.0332
_cell_length_c 14.2170
_cell_angle_alpha 90.00
_cell_angle_beta 90.00
_cell_angle_gamma 120.00
loop_
_atom_site_label
_atom_site_type_symbol
_atom_site_fract_x
_atom_site_fract_y
_atom_site_fract_z
Ta1 Ta 0.3333 0.6667 0.0904
Ta2 Ta 0.3333 0.6667 0.4045
Al1 Al 0.3333 0.6667 0.7515
C1 C 0.0000 0.0000 0.0000
N1 N 0.0000 0.0000 0.5000
```

Peak list (12 most intense, 2θ from 5° to 70°, sorted by position)
2θ/deg, Rel. int., (hkl)
12.45, 38.4, 0 0 2
25.05, 21.0, 0 0 4
34.13, 22.0, 1 0 0
34.73, 28.1, 1 0 1
37.97, 20.5, 0 0 6
39.21, 100.0, 1 0 3
42.81, 10.9, 0 1 4
51.97, 15.3, 0 1 6
57.34, 16.1, 1 0 7
61.10, 19.9, 1 1 0
67.10, 8.8, 1 1 4
69.43, 14.4, 1 0 9

---

No. 2
# Sm3Si6N11
Simulated PXRD pattern, Cu Kα (λ = 1.5418 Å). Input: DFT lattice parameters and positions (PBE).
Lines closer than 0.1° are merged.

```
data_Sm3Si6N11
_chemical_formula_sum 'Sm6 Si12 N22'
_space_group_name_H-M_alt 'P 4 b m'
_space_group_IT_number 100
_cell_length_a 10.0014
_cell_length_b 10.0014
_cell_length_c 4.8505
_cell_angle_alpha 90.00
_cell_angle_beta 90.00
_cell_angle_gamma 90.00
loop_
_space_group_symop_operation_xyz
'x,y,z'
'-y,x,z'
'-x,-y,z'
'y,-x,z'
'-x+1/2,y+1/2,z'
'y+1/2,x+1/2,z'
'x+1/2,-y+1/2,z'
'-y+1/2,-x+1/2,z'
loop_
_atom_site_label
_atom_site_type_symbol
_atom_site_fract_x
_atom_site_fract_y
_atom_site_fract_z
Sm1 Sm 0.0000 0.0000 0.0000
Sm2 Sm 0.1819 0.3181 0.0193
Si1 Si 0.0790 0.7910 0.5500
Si2 Si 0.1180 0.6180 0.0615
N1 N 0.0000 0.5000 0.0984
N2 N 0.0772 0.7740 0.1946
N3 N 0.0804 0.1811 0.6667
N4 N 0.1512 0.6512 0.7124
```

Peak list (12 most intense, 2θ from 5° to 70°, sorted by position)
2θ/deg, Rel. int., (hkl)
12.52, 25.0, 1 1 0
18.29, 82.8, 0 0 1
27.12, 65.3, 2 1 1
28.22, 41.0, 3 1 0
31.31, 70.9, 2 2 1
33.83, 100.0, 3 1 1
37.06, 73.6, 0 0 2
41.63, 34.3, 4 1 1
47.23, 25.8, 3 1 2
53.42, 55.1, 5 3 0
56.95, 26.9, 0 0 3
58.56, 20.7, 6 0 1

---

No. 3
# Al8Co7
Simulated PXRD pattern, Cu Kα (λ = 1.5418 Å). Input: DFT lattice parameters and positions (PBE).
Lines closer than 0.1° are merged.

```
data_Al8Co7
_chemical_formula_sum 'Al16 Co14'
_space_group_name_H-M_alt 'P 42/m n m'
_space_group_IT_number 136
_space_group_name_Hall '-P 4n 2n'
_cell_length_a 8.8219
_cell_length_b 8.8219
_cell_length_c 4.8924
_cell_angle_alpha 90.00
_cell_angle_beta 90.00
_cell_angle_gamma 90.00
loop_
_atom_site_label
_atom_site_type_symbol
_atom_site_fract_x
_atom_site_fract_y
_atom_site_fract_z
Al1 Al 0.0344 0.3506 0.0000
Al2 Al 0.0536 0.2518 0.5000
Co1 Co 0.0000 0.0000 0.5000
Co2 Co 0.0927 0.0927 0.0000
Co3 Co 0.1909 0.8091 0.2446
```

Peak list (12 most intense, 2θ from 5° to 70°, sorted by position)
2θ/deg, Rel. int., (hkl)
14.20, 44.5, 1 1 0
22.54, 6.3, 2 1 0
28.62, 6.5, 2 2 0
36.73, 14.1, 0 0 2
37.10, 6.5, 3 1 1
42.24, 100.0, 4 1 0
43.53, 74.9, 3 3 0
46.31, 38.9, 4 1 1
47.22, 8.4, 2 2 2
47.51, 15.6, 3 3 1
49.56, 11.6, 3 1 2
65.19, 6.6, 4 3 2

---

Q: Which formula does entry 2 have?
A: Sm3Si6N11